The following is a theoretical powder diffraction line list of Y4Zn3Co. It was derived from a crystal structure in Alexandria, relaxed with PBE, using Cu Ka.
Intensities are scaled so that the largest is 100.

Crystal structure
Lattice parameters (Å, degrees): 3.512 3.512 14.223 90.00 90.00 90.00
Fractional positions:
Y  0.000  0.000  0.114
Y  0.000  0.000  0.372
Y  0.000  0.000  0.628
Y  0.000  0.000  0.886
Zn  0.500  0.500  0.245
Zn  0.500  0.500  0.500
Zn  0.500  0.500  0.755
Co  0.500  0.500  0.000

Most intense lines, 2θ = 10–90°, by angle:
2θ (°)  I/Imax  hkl
35.9  100  1 0 4
36.2  50  1 1 0
51.4  8  0 0 8
52.1  17  2 0 0
64.5  16  1 1 8
64.9  33  2 1 4
76.2  9  2 0 8
87.9  7  3 1 0